K2Zr3CdO8: simulated X-ray diffraction stick pattern (Cu Kα, 1.54184 Å), based on a cell relaxed with GGA-PBE.
Neutral-atom scattering factors, no anomalous dispersion.

The 10 most intense peaks (2θ from 10° to 90°), low angle first:
| 2θ/deg | I (rel.) | h k l |
| --- | --- | --- |
| 13.54 | 100 | 0 0 3 |
| 27.28 | 15 | 0 0 6 |
| 27.56 | 12 | 0 1 5 |
| 31.56 | 36 | 0 2 1 |
| 32.56 | 22 | 2 0 2 |
| 36.32 | 42 | 0 2 4 |
| 45.27 | 17 | 0 2 7 |
| 55.56 | 18 | 2 2 0 |
| 57.47 | 12 | 2 2 3 |
| 68.17 | 10 | 4 0 4 |

Unit cell a=6.6160 b=6.6160 c=19.6155 alpha=90.00 beta=90.00 gamma=120.00
Space group R3m (No. 160, hexagonal axes)
Unique sites:
K1 0.0000 0.0000 0.0000 x3
K2 0.0000 0.0000 0.3578 x3
Zr1 0.9997 0.4998 0.4986 x9
Cd1 0.0000 0.0000 0.5353 x3
O1 0.0000 0.0000 0.2215 x3
O2 0.0000 0.0000 0.7792 x3
O3 0.0234 0.5117 0.7803 x9
O4 0.1863 0.3726 0.5583 x9